Record 1
Starting from a GGA-PBE-relaxed structure, the X-ray diffraction stick pattern of Na2SO4 was simulated for CuKα.
Peak positions follow from Bragg's law for the DFT cell and can differ from measured ones.

Crystal structure
```
data_Na2SO4
_symmetry_space_group_name_H-M 'I -4 2 m'
_symmetry_Int_Tables_number 121
_symmetry_space_group_name_Hall 'I -4 2'
_cell_length_a 5.4458
_cell_length_b 5.4458
_cell_length_c 7.8200
_cell_angle_alpha 90.00
_cell_angle_beta 90.00
_cell_angle_gamma 90.00
loop_
_atom_site_label
_atom_site_type_symbol
_atom_site_fract_x
_atom_site_fract_y
_atom_site_fract_z
Na1 Na 0.0000 0.5000 0.2500
S1 S 0.0000 0.0000 0.0000
O1 O 0.1594 0.1594 0.8910
```

The 10 most intense peaks (2θ from 15° to 90°), sorted by position:
2θ = 19.87°, I 100.0; 2θ = 32.64°, I 63.1; 2θ = 32.89°, I 9.3; 2θ = 38.72°, I 11.5; 2θ = 47.21°, I 9.2; 2θ = 51.34°, I 10.3; 2θ = 58.08°, I 11.7; 2θ = 58.57°, I 12.2; 2θ = 62.64°, I 4.4; 2θ = 87.26°, I 3.8



Record 2
Starting from a GGA-PBE-relaxed structure, the X-ray diffraction stick pattern of Pr5Zn6 was simulated for CuKα.
Peak positions follow from Bragg's law for the DFT cell and can differ from measured ones.

Crystal structure
```
data_Pr5Zn6
_symmetry_space_group_name_H-M 'I m m m'
_symmetry_Int_Tables_number 71
_symmetry_space_group_name_Hall '-I 2 2'
_cell_length_a 5.1705
_cell_length_b 7.3804
_cell_length_c 15.5514
_cell_angle_alpha 90.00
_cell_angle_beta 90.00
_cell_angle_gamma 90.00
loop_
_atom_site_label
_atom_site_type_symbol
_atom_site_fract_x
_atom_site_fract_y
_atom_site_fract_z
Pr1 Pr 0.0000 0.0000 0.0000
Pr2 Pr 0.0000 0.0000 0.3472
Pr3 Pr 0.0000 0.5000 0.3287
Zn1 Zn 0.0000 0.2525 0.1648
Zn2 Zn 0.0000 0.2692 0.5000
```

The 10 most intense peaks (2θ from 15° to 90°), sorted by position:
2θ = 34.53°, I 100.0; 2θ = 34.70°, I 20.5; 2θ = 49.39°, I 7.2; 2θ = 49.82°, I 13.4; 2θ = 61.74°, I 14.0; 2θ = 61.96°, I 12.3; 2θ = 62.07°, I 14.3; 2θ = 72.78°, I 8.1; 2θ = 82.78°, I 5.9; 2θ = 83.43°, I 7.5



Record 3
Starting from a GGA-PBE-relaxed structure, the X-ray diffraction stick pattern of PmPu5Se6 was simulated for CuKα.
Peak positions follow from Bragg's law for the DFT cell and can differ from measured ones.

Crystal structure
```
data_PmPu5Se6
_symmetry_space_group_name_H-M 'C 1 2/m 1'
_symmetry_Int_Tables_number 12
_symmetry_space_group_name_Hall '-C 2y'
_cell_length_a 7.2033
_cell_length_b 12.4684
_cell_length_c 7.1987
_cell_angle_alpha 90.00
_cell_angle_beta 109.46
_cell_angle_gamma 90.00
loop_
_atom_site_label
_atom_site_type_symbol
_atom_site_fract_x
_atom_site_fract_y
_atom_site_fract_z
Pm1 Pm 0.0000 0.0000 0.0000
Pu1 Pu 0.0000 0.1654 0.5000
Pu2 Pu 0.0000 0.3331 0.0000
Pu3 Pu 0.0000 0.5000 0.5000
Se1 Se 0.2475 0.3317 0.7477
Se2 Se 0.2470 0.5000 0.2515
```

The 10 most intense peaks (2θ from 15° to 90°), sorted by position:
2θ = 26.26°, I 40.9; 2θ = 30.41°, I 100.0; 2θ = 43.54°, I 75.8; 2θ = 51.56°, I 21.3; 2θ = 54.03°, I 27.0; 2θ = 63.27°, I 12.7; 2θ = 69.70°, I 4.5; 2θ = 69.74°, I 4.5; 2θ = 71.81°, I 35.1; 2θ = 79.94°, I 26.5



Record 4
Starting from a GGA-PBE-relaxed structure, the X-ray diffraction stick pattern of In2Sb5Pd12 was simulated for CuKα.
Peak positions follow from Bragg's law for the DFT cell and can differ from measured ones.

Crystal structure
```
data_In2Sb5Pd12
_symmetry_space_group_name_H-M 'C 1 2/m 1'
_symmetry_Int_Tables_number 12
_symmetry_space_group_name_Hall '-C 2y'
_cell_length_a 15.6022
_cell_length_b 5.7413
_cell_length_c 8.7415
_cell_angle_alpha 90.00
_cell_angle_beta 107.16
_cell_angle_gamma 90.00
loop_
_atom_site_label
_atom_site_type_symbol
_atom_site_fract_x
_atom_site_fract_y
_atom_site_fract_z
In1 In 0.0000 0.2480 0.0000
Sb1 Sb 0.0000 0.0000 0.5000
Sb2 Sb 0.1529 0.5000 0.8462
Sb3 Sb 0.1967 0.5000 0.3608
Pd1 Pd 0.0167 0.5000 0.3140
Pd2 Pd 0.0920 0.0000 0.2793
Pd3 Pd 0.1503 0.2514 0.5874
Pd4 Pd 0.1926 0.2418 0.1085
```

The 10 most intense peaks (2θ from 15° to 90°), sorted by position:
2θ = 23.69°, I 33.1; 2θ = 25.62°, I 57.9; 2θ = 36.16°, I 63.8; 2θ = 37.93°, I 100.0; 2θ = 38.04°, I 48.4; 2θ = 41.32°, I 85.4; 2θ = 41.66°, I 47.6; 2θ = 41.95°, I 43.6; 2θ = 43.06°, I 64.0; 2θ = 64.96°, I 38.0